The following is a simulated XRD peak list of K2CuP2O7. It was derived from a DFT-relaxed cell (PBE, Alexandria), using Cu Kα X-rays.

Main lines, by angle (10° ≤ 2θ ≤ 80°):
2theta	d [Å]	intensity	h k l
15.12	5.859	100	2 0 1
18.05	4.915	69	0 0 2
20.37	4.360	56	3 0 1
27.61	3.231	63	2 1 2
31.12	2.874	68	4 1 1
31.99	2.798	39	5 0 1
33.84	2.649	49	0 2 0
43.02	2.103	48	3 2 2

Crystal structure
```
data_K2CuP2O7
_space_group_name_H-M_alt 'P 1'
_space_group_IT_number 1
_space_group_name_Hall 'P 1'
_cell_length_a 14.5944
_cell_length_b 5.2973
_cell_length_c 9.8295
_cell_angle_alpha 90.00
_cell_angle_beta 90.00
_cell_angle_gamma 90.00
loop_
_atom_site_label
_atom_site_fract_x
_atom_site_fract_y
_atom_site_fract_z
_atom_site_occupancy
K1 0.0976 0.2500 0.1279 1
K2 0.2095 0.7500 0.3599 1
K3 0.2905 0.2500 0.8599 1
K4 0.4024 0.7500 0.6279 1
K5 0.5976 0.2500 0.3721 1
K6 0.7095 0.7500 0.1401 1
K7 0.7905 0.2500 0.6401 1
K8 0.9024 0.7500 0.8721 1
Cu1 0.1542 0.7500 0.7305 1
Cu2 0.3458 0.2500 0.2305 1
Cu3 0.6542 0.7500 0.7695 1
Cu4 0.8458 0.2500 0.2695 1
P1 0.0448 0.2500 0.7731 1
P2 0.1753 0.2500 0.5585 1
P3 0.3247 0.7500 0.0585 1
P4 0.4552 0.7500 0.2731 1
P5 0.5448 0.2500 0.7269 1
P6 0.6753 0.2500 0.9415 1
P7 0.8247 0.7500 0.4415 1
P8 0.9552 0.7500 0.2269 1
O1 0.0578 0.7500 0.2130 1
O2 0.0685 0.2500 0.6098 1
O3 0.0907 0.0112 0.8350 1
O4 0.0907 0.4888 0.8350 1
O5 0.1753 0.2500 0.4051 1
O6 0.2192 0.0080 0.6207 1
O7 0.2192 0.4920 0.6207 1
O8 0.2808 0.5080 0.1207 1
O9 0.2808 0.9920 0.1207 1
O10 0.3247 0.7500 0.9051 1
O11 0.4093 0.5112 0.3350 1
O12 0.4093 0.9888 0.3350 1
O13 0.4315 0.7500 0.1098 1
O14 0.4422 0.2500 0.7130 1
O15 0.5578 0.7500 0.2870 1
O16 0.5685 0.2500 0.8902 1
O17 0.5907 0.0112 0.6650 1
O18 0.5907 0.4888 0.6650 1
O19 0.6753 0.2500 0.0949 1
O20 0.7192 0.0080 0.8793 1
O21 0.7192 0.4920 0.8793 1
O22 0.7808 0.5080 0.3793 1
O23 0.7808 0.9920 0.3793 1
O24 0.8247 0.7500 0.5949 1
O25 0.9093 0.5112 0.1650 1
O26 0.9093 0.9888 0.1650 1
O27 0.9315 0.7500 0.3902 1
O28 0.9422 0.2500 0.7870 1
```